(1)
Diffraction record for Ta5V5Si6. The X-ray powder pattern is simulated, not measured: it uses a crystal structure in Alexandria, relaxed with GGA-PBE and CuKα.
No peak broadening, texture or thermal motion is included.

Peak list (6 most intense, 10 to 90 degrees two-theta, by angle)
two_theta	intensity
13.8	84.4
30.1	68.4
30.4	61.9
41.4	81.0
41.8	100.0
42.0	80.1

Atomic structure:
```
16
Lattice="4.959 0.000 0.000 0.000 6.300 3.715 0.000 -6.300 3.715" Properties=species:S:1:pos:R:3 pbc="T T T"
Ta 0.000 0.000 0.000
Ta 0.000 -1.438 2.690
Ta 0.000 1.438 2.690
Ta 2.479 -4.765 4.610
Ta 2.479 4.765 4.610
V 1.248 -2.118 5.547
V 1.248 2.118 5.547
V 2.479 0.000 3.754
V 3.711 -2.118 5.547
V 3.711 2.118 5.547
Si 0.000 -3.729 4.027
Si 0.000 0.000 4.835
Si 0.000 3.729 4.027
Si 2.479 -2.464 3.323
Si 2.479 2.464 3.323
Si 2.479 0.000 6.221
```



(2)
Diffraction record for TaSi6W2. The X-ray powder pattern is simulated, not measured: it uses a crystal structure in Alexandria, relaxed with GGA-PBE and CuKα.
No peak broadening, texture or thermal motion is included.

Peak list (6 most intense, 10 to 90 degrees two-theta, by angle)
two_theta	intensity
25.8	100.0
35.1	45.9
40.7	24.9
40.9	48.4
41.2	26.8
47.7	31.8

Atomic structure:
```
9
Lattice="2.355 -4.051 0.000 2.355 4.051 0.000 0.000 0.000 6.574" Properties=species:S:1:pos:R:3 pbc="T T T"
Ta 0.000 0.000 0.000
Si 1.215 0.660 2.198
Si 2.355 1.313 0.000
Si 1.215 -0.660 4.376
Si 3.495 0.660 4.376
Si 2.355 -1.313 0.000
Si 3.495 -0.660 2.198
W 1.178 2.026 4.372
W 1.178 -2.026 2.201
```



(3)
Diffraction record for Y2TaSi. The X-ray powder pattern is simulated, not measured: it uses a crystal structure in Alexandria, relaxed with GGA-PBE and CuKα.
No peak broadening, texture or thermal motion is included.

Peak list (6 most intense, 10 to 90 degrees two-theta, by angle)
two_theta	intensity
15.8	35.9
31.6	100.0
32.6	51.8
38.5	39.4
39.1	54.1
54.7	23.6

Atomic structure:
```
4
Lattice="4.240 0.000 0.000 0.000 2.018 5.613 0.000 -2.018 5.613" Properties=species:S:1:pos:R:3 pbc="T T T"
Y 0.000 0.000 0.000
Y 2.120 0.000 3.332
Ta 0.000 0.000 7.993
Si 2.120 0.000 6.533
```



(4)
Diffraction record for Tb4Si. The X-ray powder pattern is simulated, not measured: it uses a crystal structure in Alexandria, relaxed with GGA-PBE and CuKα.
No peak broadening, texture or thermal motion is included.

Peak list (6 most intense, 10 to 90 degrees two-theta, by angle)
two_theta	intensity
28.1	100.0
32.5	61.6
46.7	45.2
55.4	45.8
75.3	18.4
77.6	20.3

Atomic structure:
```
5
Lattice="5.504 0.000 0.000 0.000 5.504 0.000 0.000 0.000 5.504" Properties=species:S:1:pos:R:3 pbc="T T T"
Tb 0.000 0.000 0.000
Tb 0.000 2.752 2.752
Tb 2.752 0.000 2.752
Tb 2.752 2.752 0.000
Si 2.752 2.752 2.752
```



(5)
Diffraction record for Tb3Si4. The X-ray powder pattern is simulated, not measured: it uses a crystal structure in Alexandria, relaxed with GGA-PBE and CuKα.
No peak broadening, texture or thermal motion is included.

Peak list (6 most intense, 10 to 90 degrees two-theta, by angle)
two_theta	intensity
30.9	65.6
31.1	46.9
33.9	100.0
35.5	71.8
39.4	74.6
56.0	48.4

Atomic structure:
```
14
Lattice="2.002 -5.281 0.000 2.002 5.281 0.000 0.000 0.000 13.704" Properties=species:S:1:pos:R:3 pbc="T T T"
Tb 2.002 5.074 10.278
Tb 2.002 1.958 8.201
Tb 2.002 1.958 12.355
Tb 2.002 -1.958 1.349
Tb 2.002 -1.958 5.503
Tb 2.002 -5.074 3.426
Si 0.000 0.000 0.000
Si 0.000 0.000 6.852
Si 2.002 2.544 3.426
Si 2.002 1.081 1.456
Si 2.002 1.081 5.396
Si 2.002 -1.081 8.308
Si 2.002 -1.081 12.248
Si 2.002 -2.544 10.278
```



(6)
Diffraction record for Tb4Si7. The X-ray powder pattern is simulated, not measured: it uses a crystal structure in Alexandria, relaxed with GGA-PBE and CuKα.
No peak broadening, texture or thermal motion is included.

Peak list (6 most intense, 10 to 90 degrees two-theta, by angle)
two_theta	intensity
22.7	25.3
23.2	25.1
26.2	26.4
29.4	27.9
29.8	24.6
34.1	100.0

Atomic structure:
```
11
Lattice="3.988 0.000 0.000 0.000 4.083 0.000 0.000 0.000 13.628" Properties=species:S:1:pos:R:3 pbc="T T T"
Tb 0.000 0.000 0.000
Tb 0.000 2.041 3.402
Tb 1.994 0.000 10.268
Tb 1.994 2.041 6.798
Si 0.000 0.000 5.644
Si 0.000 0.000 7.971
Si 0.000 2.041 9.111
Si 0.000 2.041 11.459
Si 1.994 0.000 2.120
Si 1.994 0.000 4.418
Si 1.994 2.041 12.809
```



Copy entry 3 word for word.
Diffraction record for Y2TaSi. The X-ray powder pattern is simulated, not measured: it uses a crystal structure in Alexandria, relaxed with GGA-PBE and CuKα.
No peak broadening, texture or thermal motion is included.

Peak list (6 most intense, 10 to 90 degrees two-theta, by angle)
two_theta	intensity
15.8	35.9
31.6	100.0
32.6	51.8
38.5	39.4
39.1	54.1
54.7	23.6

Atomic structure:
```
4
Lattice="4.240 0.000 0.000 0.000 2.018 5.613 0.000 -2.018 5.613" Properties=species:S:1:pos:R:3 pbc="T T T"
Y 0.000 0.000 0.000
Y 2.120 0.000 3.332
Ta 0.000 0.000 7.993
Si 2.120 0.000 6.533
```